Theoretical X-ray powder pattern of Mg14CrBO16 for Cu Kα (weighted mean of Kα1 and Kα2), from DFT lattice parameters and positions (GGA+U).
Lines closer than 0.1° are merged.

Peak list (8 most intense, 15° ≤ 2θ ≤ 90°, sorted by position)
2θ (°)	I_rel
23.35	7
31.50	5
36.53	11
42.44	100
61.57	56
73.72	5
73.85	2
77.64	17

Crystal structure
```
32
Lattice="8.527 0.000 0.000 0.000 8.527 0.000 0.000 0.000 4.254" Properties=species:S:1:pos:R:3 pbc="T T T"
Mg 0.000 2.108 0.000
Mg 0.000 4.263 2.127
Mg 0.000 6.419 0.000
Mg 2.097 2.097 2.127
Mg 2.097 6.430 2.127
Mg 2.108 0.000 0.000
Mg 2.121 4.263 0.000
Mg 4.263 0.000 2.127
Mg 4.263 2.121 0.000
Mg 4.263 6.406 0.000
Mg 6.406 4.263 0.000
Mg 6.419 0.000 0.000
Mg 6.430 2.097 2.127
Mg 6.430 6.430 2.127
Cr 4.263 4.263 2.127
B 0.000 0.000 2.127
O 0.000 0.000 0.000
O 0.000 2.184 2.127
O 0.000 4.263 0.000
O 0.000 6.343 2.127
O 2.128 2.128 0.000
O 2.128 6.398 0.000
O 2.142 4.263 2.127
O 2.184 0.000 2.127
O 4.263 0.000 0.000
O 4.263 2.142 2.127
O 4.263 4.263 0.000
O 4.263 6.384 2.127
O 6.343 0.000 2.127
O 6.384 4.263 2.127
O 6.398 2.128 0.000
O 6.398 6.398 0.000
```